Structure and calculated X-ray diffraction stick pattern of Li4PmAg4 (a crystal structure in Alexandria, relaxed with PBE; Cu Kα X-rays).
Neutral-atom scattering factors, no anomalous dispersion.

Largest 10 diffraction maxima, sorted by position, 2θ from 10° to 80°:
2θ (°)	d [Å]	I/Imax
14.97	5.917	46.5
30.55	2.926	100.0
33.87	2.646	26.1
37.51	2.398	63.1
38.37	2.346	25.2
43.50	2.080	22.3
48.66	1.871	13.8
52.10	1.756	14.6
56.03	1.641	13.3
69.95	1.345	13.4

```
9
Lattice="-4.184 4.184 2.346 4.184 -4.184 2.346 4.184 4.184 -2.346" Properties=species:S:1:pos:R:3 pbc="T T T"
Li 5.307 0.538 0.000
Li 0.538 3.061 0.000
Li 3.646 1.123 2.346
Li -1.123 3.646 2.346
Pm 0.000 0.000 0.000
Ag 3.016 2.336 0.000
Ag 1.848 -1.168 2.346
Ag 2.336 5.352 0.000
Ag 1.168 1.848 2.346
```